This entry pairs a crystal structure of Mn3Cl5F with its computed PXRD pattern. Radiation: Cu Kα (λ = 1.5418 Å). Structure: a crystal structure in Alexandria, relaxed with GGA+U.
Neutral-atom scattering factors, no anomalous dispersion.

The 12 most intense peaks (10 to 90 degrees two-theta), in order of rising 2θ:
Position (°2θ)  Rel. int.
20.4  95
22.0  100
28.3  49
31.6  63
32.7  47
32.8  26
34.9  31
41.0  90
41.5  37
42.7  50
48.8  35
52.5  73

Cell and atoms:
```
Mn3Cl5F
1.0
4.349 -12.104 0.000
4.349 12.104 0.000
0.000 0.000 3.733
Mn Cl F
6 10 2
direct
0.000 0.000 0.000 Mn
0.147 0.853 0.500 Mn
0.326 0.674 0.000 Mn
0.500 0.500 0.500 Mn
0.674 0.326 0.000 Mn
0.853 0.147 0.500 Mn
0.135 0.465 0.500 Cl
0.194 0.194 0.500 Cl
0.222 0.778 0.000 Cl
0.433 0.567 0.000 Cl
0.465 0.135 0.500 Cl
0.535 0.865 0.500 Cl
0.567 0.433 0.000 Cl
0.778 0.222 0.000 Cl
0.806 0.806 0.500 Cl
0.865 0.535 0.500 Cl
0.096 0.904 0.000 F
0.904 0.096 0.000 F
```